1.
Computed X-ray diffraction stick pattern of FePCSe for a wavelength of 1.5418 Å, from a GGA-PBE-relaxed structure.

Peak list (10 most intense, 2θ = 5–70°, in order of rising 2θ)
16.66 deg, I = 37
24.26 deg, I = 96
27.67 deg, I = 30
31.37 deg, I = 83
35.01 deg, I = 81
41.70 deg, I = 100
46.12 deg, I = 60
54.42 deg, I = 25
55.04 deg, I = 57
60.16 deg, I = 21

Structure:
abc: 3.7006 2.9243 5.3687
angles: 90.00 97.51 90.00
Sites, in units of the cell vectors:
Fe1 0.0000 0.0000 0.0000
P1 0.2643 0.5000 0.7314
C1 0.5154 0.0000 0.8260
Se1 0.8837 0.5000 0.3142

2.
Computed X-ray diffraction stick pattern of Sr3SnBr8 for a wavelength of 1.5418 Å, from a GGA-PBE-relaxed structure.

Peak list (10 most intense, 2θ = 5–70°, in order of rising 2θ)
12.34 deg, I = 53
15.89 deg, I = 43
23.59 deg, I = 21
26.05 deg, I = 51
29.25 deg, I = 100
35.96 deg, I = 18
39.56 deg, I = 66
40.69 deg, I = 20
48.95 deg, I = 18
50.94 deg, I = 25

Structure:
abc: 8.0328 8.0328 8.8695
angles: 90.00 90.00 116.78
Sites, in units of the cell vectors:
Sr1 0.0000 0.0000 0.0000
Sr2 0.0000 0.5000 0.7486
Sr3 0.5000 0.0000 0.2514
Sn1 0.0000 0.0000 0.5000
Br1 0.2209 0.2700 0.7464
Br2 0.2205 0.7795 0.5000
Br3 0.2245 0.7755 0.0000
Br4 0.2700 0.2209 0.2536
Br5 0.7300 0.7791 0.2536
Br6 0.7755 0.2245 0.0000
Br7 0.7795 0.2205 0.5000
Br8 0.7791 0.7300 0.7464